Starting from the GGA-PBE geometry in Alexandria, the PXRD pattern of LaTb6Dy5 was simulated for Cu Kα (weighted mean of Kα1 and Kα2).

Structure:
```
12
Lattice="5.929 -5.355 0.000 5.929 5.355 0.000 -1.085 0.000 6.081" Properties=species:S:1:pos:R:3 pbc="T T T"
La 0.000 0.000 0.000
Tb 2.709 1.791 1.517
Tb 2.164 0.000 4.549
Tb 2.709 -1.791 1.517
Tb 8.064 1.791 4.564
Tb 8.609 0.000 1.533
Tb 8.064 -1.791 4.564
Dy 5.386 3.544 3.041
Dy 5.929 1.769 0.000
Dy 5.386 0.000 3.041
Dy 5.929 -1.769 0.000
Dy 5.386 -3.544 3.041
```

Most intense lines, 10° ≤ 2θ ≤ 90°, sorted by position:
2θ (°)  d (Å)  intensity
30.67  2.915  100
35.56  2.525  51
51.15  1.786  24
51.21  1.784  12
60.81  1.523  29
60.91  1.521  14
63.83  1.458  6
63.89  1.457  6
83.49  1.158  12
86.15  1.129  8

---

Starting from the GGA-PBE geometry in Alexandria, the PXRD pattern of LaTb3Dy7 was simulated for Cu Kα (weighted mean of Kα1 and Kα2).

Structure:
```
11
Lattice="6.966 0.000 0.000 0.000 5.566 0.000 -3.277 0.000 9.348" Properties=species:S:1:pos:R:3 pbc="T T T"
La 0.000 0.000 0.000
Tb 0.308 2.783 4.640
Tb 3.483 0.000 0.000
Tb 3.381 2.783 4.708
Dy -1.639 0.000 4.674
Dy -1.568 2.783 7.375
Dy 1.809 2.783 1.329
Dy 1.877 0.000 3.099
Dy 1.812 0.000 6.249
Dy 1.880 2.783 8.019
Dy 5.258 2.783 1.973
```

Most intense lines, 10° ≤ 2θ ≤ 90°, sorted by position:
2θ (°)  d (Å)  intensity
31.34  2.854  30
31.63  2.829  100
31.78  2.816  39
31.96  2.800  69
32.16  2.783  76
32.40  2.764  23
32.94  2.719  77
46.30  1.961  22
57.86  1.594  28
62.97  1.476  20

---

Starting from the GGA-PBE geometry in Alexandria, the PXRD pattern of La4TbDy15 was simulated for Cu Kα (weighted mean of Kα1 and Kα2).

Structure:
```
20
Lattice="5.084 0.000 0.000 0.000 5.084 0.000 0.000 0.000 25.261" Properties=species:S:1:pos:R:3 pbc="T T T"
La 0.000 0.000 2.541
La 0.000 0.000 7.590
La 0.000 0.000 17.671
La 0.000 0.000 22.720
Tb 0.000 0.000 12.630
Dy 0.000 2.542 0.000
Dy 0.000 2.542 5.076
Dy 0.000 2.542 10.159
Dy 0.000 2.542 15.102
Dy 0.000 2.542 20.184
Dy 2.542 0.000 0.000
Dy 2.542 0.000 5.076
Dy 2.542 0.000 10.159
Dy 2.542 0.000 15.102
Dy 2.542 0.000 20.184
Dy 2.542 2.542 2.536
Dy 2.542 2.542 7.621
Dy 2.542 2.542 12.630
Dy 2.542 2.542 17.640
Dy 2.542 2.542 22.725
```

Most intense lines, 10° ≤ 2θ ≤ 90°, sorted by position:
2θ (°)  d (Å)  intensity
30.52  2.929  100
35.31  2.542  34
35.54  2.526  17
50.79  1.798  12
50.97  1.792  24
60.42  1.532  29
60.73  1.525  14
63.52  1.465  12
82.78  1.166  6
83.05  1.163  12

---

Starting from the GGA-PBE geometry in Alexandria, the PXRD pattern of LaTb3Dy5 was simulated for Cu Kα (weighted mean of Kα1 and Kα2).

Structure:
```
18
Lattice="9.577 -3.030 0.000 9.577 3.030 0.000 -4.192 0.000 10.369" Properties=species:S:1:pos:R:3 pbc="T T T"
La 6.433 2.168 7.777
La 8.529 -2.168 2.592
Tb 0.000 0.000 0.000
Tb -2.096 0.000 5.185
Tb 3.543 1.694 6.573
Tb 9.323 1.694 8.980
Tb 5.639 -1.694 1.389
Tb 11.419 -1.694 3.796
Dy 5.139 1.485 3.120
Dy 2.285 1.381 10.069
Dy 8.529 0.759 2.592
Dy 11.919 1.485 2.064
Dy 10.581 1.381 5.485
Dy 4.381 -1.381 4.884
Dy 3.043 -1.485 8.305
Dy 6.433 -0.759 7.777
Dy 12.677 -1.381 0.300
Dy 9.823 -1.485 7.249
```

Most intense lines, 10° ≤ 2θ ≤ 90°, sorted by position:
2θ (°)  d (Å)  intensity
28.50  3.131  26
28.63  3.118  32
29.48  3.030  35
30.20  2.960  100
31.19  2.867  37
31.81  2.814  81
32.17  2.783  87
38.28  2.351  20
42.71  2.117  24
58.09  1.588  30